# 1
Theoretical X-ray diffraction stick pattern of PmSmZnCo for Cu Kα X-rays, from the PBE geometry in Alexandria.
Peak positions follow from Bragg's law for the DFT cell and can differ from measured ones.

Atomic structure:
```
data_PmSmZnCo
_space_group_name_H-M_alt 'A m m 2'
_space_group_IT_number 38
_space_group_name_Hall 'A 2 -2'
_cell_length_a 4.3493
_cell_length_b 3.9174
_cell_length_c 10.8638
_cell_angle_alpha 90.00
_cell_angle_beta 90.00
_cell_angle_gamma 90.00
loop_
_atom_site_label
_atom_site_type_symbol
_atom_site_fract_x
_atom_site_fract_y
_atom_site_fract_z
Pm1 Pm 0.0000 0.0000 0.0000
Sm1 Sm 0.5000 0.0000 0.7219
Zn1 Zn 0.5000 0.0000 0.4267
Co1 Co 0.0000 0.0000 0.3041
```

Most intense lines, 2θ from 15° to 90°, sorted by position:
2θ (°), I/Imax, (hkl)
26.2, 41, 1 0 2
31.8, 100, 1 1 1
33.0, 22, 0 0 4
33.7, 54, 0 1 3
39.7, 51, 1 1 3
41.5, 29, 2 0 0
46.4, 21, 0 2 0
54.0, 23, 2 0 4
54.5, 27, 2 1 3
74.6, 21, 1 2 6

# 2
Theoretical X-ray diffraction stick pattern of PmCo2Sn4 for Cu Kα X-rays, from the PBE geometry in Alexandria.
Peak positions follow from Bragg's law for the DFT cell and can differ from measured ones.

Atomic structure:
```
data_PmCo2Sn4
_space_group_name_H-M_alt 'P n m a'
_space_group_IT_number 62
_space_group_name_Hall '-P 2ac 2n'
_cell_length_a 18.3297
_cell_length_b 4.3785
_cell_length_c 7.0885
_cell_angle_alpha 90.00
_cell_angle_beta 90.00
_cell_angle_gamma 90.00
loop_
_atom_site_label
_atom_site_type_symbol
_atom_site_fract_x
_atom_site_fract_y
_atom_site_fract_z
Pm1 Pm 0.1414 0.2500 0.0073
Co1 Co 0.0354 0.7500 0.7489
Co2 Co 0.2133 0.2500 0.4876
Sn1 Sn 0.0285 0.7500 0.1364
Sn2 Sn 0.0689 0.2500 0.5109
Sn3 Sn 0.1803 0.7500 0.7017
Sn4 Sn 0.1990 0.7500 0.2843
```

Most intense lines, 2θ from 15° to 90°, sorted by position:
2θ (°), I/Imax, (hkl)
34.0, 100, 2 1 2
34.3, 62, 5 1 1
35.8, 29, 6 1 0
36.6, 30, 7 0 1
41.0, 24, 3 0 3
41.2, 44, 0 2 0
56.3, 17, 7 2 1
59.5, 14, 3 2 3
64.0, 21, 9 1 3
70.5, 14, 2 3 2

# 3
Theoretical X-ray diffraction stick pattern of PmCo3Sn5 for Cu Kα X-rays, from the PBE geometry in Alexandria.
Peak positions follow from Bragg's law for the DFT cell and can differ from measured ones.

Atomic structure:
```
data_PmCo3Sn5
_space_group_name_H-M_alt 'C 1 2/m 1'
_space_group_IT_number 12
_space_group_name_Hall '-C 2y'
_cell_length_a 11.2779
_cell_length_b 8.7817
_cell_length_c 9.4467
_cell_angle_alpha 90.00
_cell_angle_beta 120.32
_cell_angle_gamma 90.00
loop_
_atom_site_label
_atom_site_type_symbol
_atom_site_fract_x
_atom_site_fract_y
_atom_site_fract_z
Pm1 Pm 0.0952 0.0000 0.3024
Co1 Co 0.0000 0.0000 0.0000
Co2 Co 0.0000 0.0000 0.5000
Co3 Co 0.1389 0.5000 0.6511
Co4 Co 0.1931 0.5000 0.1797
Sn1 Sn 0.0000 0.3001 0.0000
Sn2 Sn 0.0836 0.5000 0.3547
Sn3 Sn 0.1588 0.2224 0.6617
Sn4 Sn 0.2411 0.0000 0.0382
```

Most intense lines, 2θ from 15° to 90°, sorted by position:
2θ (°), I/Imax, (hkl)
20.2, 15, 0 2 0
28.7, 44, 2 2 -2
32.2, 29, 3 1 -3
32.7, 35, 4 0 -1
32.9, 100, 2 2 1
41.0, 22, 4 0 -4
41.1, 23, 0 4 0
41.7, 15, 1 1 -4
51.4, 17, 1 3 -4
53.7, 20, 0 4 3

# 4
Theoretical X-ray diffraction stick pattern of Pm2Co2Sn3 for Cu Kα X-rays, from the PBE geometry in Alexandria.
Peak positions follow from Bragg's law for the DFT cell and can differ from measured ones.

Atomic structure:
```
data_Pm2Co2Sn3
_space_group_name_H-M_alt 'P 1 2/m 1'
_space_group_IT_number 10
_space_group_name_Hall '-P 2y'
_cell_length_a 4.0253
_cell_length_b 3.6731
_cell_length_c 12.0786
_cell_angle_alpha 90.00
_cell_angle_beta 99.61
_cell_angle_gamma 90.00
loop_
_atom_site_label
_atom_site_type_symbol
_atom_site_fract_x
_atom_site_fract_y
_atom_site_fract_z
Pm1 Pm 0.0988 0.0000 0.1952
Co1 Co 0.3951 0.5000 0.7919
Sn1 Sn 0.2933 0.5000 0.5859
Sn2 Sn 0.5000 0.5000 0.0000
```

Most intense lines, 2θ from 15° to 90°, sorted by position:
2θ (°), I/Imax, (hkl)
28.6, 29, 0 1 2
29.0, 61, 1 0 2
33.2, 100, 1 1 -1
37.8, 31, 0 0 5
45.0, 21, 2 0 -1
48.0, 41, 1 1 4
54.2, 24, 1 1 -6
58.5, 18, 1 2 2
60.2, 16, 2 0 4
85.3, 19, 1 1 9

# 5
Theoretical X-ray diffraction stick pattern of PmCo4Sn12 for Cu Kα X-rays, from the PBE geometry in Alexandria.
Peak positions follow from Bragg's law for the DFT cell and can differ from measured ones.

Atomic structure:
```
data_PmCo4Sn12
_space_group_name_H-M_alt 'I m -3'
_space_group_IT_number 204
_space_group_name_Hall '-I 2 2 3'
_cell_length_a 9.2196
_cell_length_b 9.2196
_cell_length_c 9.2196
_cell_angle_alpha 90.00
_cell_angle_beta 90.00
_cell_angle_gamma 90.00
loop_
_atom_site_label
_atom_site_type_symbol
_atom_site_fract_x
_atom_site_fract_y
_atom_site_fract_z
Pm1 Pm 0.0000 0.0000 0.0000
Co1 Co 0.2500 0.2500 0.2500
Sn1 Sn 0.0000 0.1703 0.3306
```

Most intense lines, 2θ from 15° to 90°, sorted by position:
2θ (°), I/Imax, (hkl)
30.7, 100, 3 1 0
36.5, 56, 3 2 1
43.9, 12, 4 2 0
48.4, 24, 4 2 2
50.5, 19, 4 1 3
58.4, 22, 5 0 3
60.2, 12, 6 0 0
62.1, 15, 5 3 2
69.1, 20, 6 3 1
88.8, 13, 6 3 5

# 6
Theoretical X-ray diffraction stick pattern of PmTaCo10 for Cu Kα X-rays, from the PBE geometry in Alexandria.
Peak positions follow from Bragg's law for the DFT cell and can differ from measured ones.

Atomic structure:
```
data_PmTaCo10
_space_group_name_H-M_alt 'P m m m'
_space_group_IT_number 47
_space_group_name_Hall '-P 2 2'
_cell_length_a 3.9812
_cell_length_b 4.7861
_cell_length_c 8.3505
_cell_angle_alpha 90.00
_cell_angle_beta 90.00
_cell_angle_gamma 90.00
loop_
_atom_site_label
_atom_site_type_symbol
_atom_site_fract_x
_atom_site_fract_y
_atom_site_fract_z
Pm1 Pm 0.0000 0.0000 0.0000
Ta1 Ta 0.0000 0.5000 0.5000
Co1 Co 0.0000 0.0000 0.3481
Co2 Co 0.0000 0.5000 0.1887
Co3 Co 0.5000 0.0000 0.5000
Co4 Co 0.5000 0.2582 0.2631
Co5 Co 0.5000 0.5000 0.0000
```

Most intense lines, 2θ from 15° to 90°, sorted by position:
2θ (°), I/Imax, (hkl)
31.1, 88, 1 1 1
37.4, 32, 0 1 3
37.6, 17, 0 2 0
43.3, 19, 0 0 4
43.6, 35, 0 2 2
44.0, 100, 1 1 3
44.2, 51, 1 2 0
45.6, 44, 2 0 0
64.9, 20, 2 2 2
72.3, 21, 1 3 3

# 7
Theoretical X-ray diffraction stick pattern of TbPm2Co for Cu Kα X-rays, from the PBE geometry in Alexandria.
Peak positions follow from Bragg's law for the DFT cell and can differ from measured ones.

Atomic structure:
```
data_TbPm2Co
_space_group_name_H-M_alt 'P n n a'
_space_group_IT_number 52
_space_group_name_Hall '-P 2a 2bc'
_cell_length_a 6.5701
_cell_length_b 6.2923
_cell_length_c 11.3254
_cell_angle_alpha 90.00
_cell_angle_beta 90.00
_cell_angle_gamma 90.00
loop_
_atom_site_label
_atom_site_type_symbol
_atom_site_fract_x
_atom_site_fract_y
_atom_site_fract_z
Tb1 Tb 0.0799 0.2500 0.2500
Pm1 Pm 0.0885 0.2471 0.5853
Co1 Co 0.2500 0.0000 0.4114
```

Most intense lines, 2θ from 15° to 90°, sorted by position:
2θ (°), I/Imax, (hkl)
27.2, 12, 1 0 3
28.4, 20, 0 2 0
30.8, 100, 2 1 0
39.7, 27, 1 2 3
48.0, 17, 3 0 3
48.2, 9, 0 0 6
51.7, 8, 2 3 0
51.8, 15, 1 3 3
56.7, 12, 3 2 3
58.2, 11, 2 1 6

# 8
Theoretical X-ray diffraction stick pattern of PmCoTc for Cu Kα X-rays, from the PBE geometry in Alexandria.
Peak positions follow from Bragg's law for the DFT cell and can differ from measured ones.

Atomic structure:
```
data_PmCoTc
_space_group_name_H-M_alt 'P 41 21 2'
_space_group_IT_number 92
_space_group_name_Hall 'P 4abw 2nw'
_cell_length_a 6.6613
_cell_length_b 6.6613
_cell_length_c 5.9386
_cell_angle_alpha 90.00
_cell_angle_beta 90.00
_cell_angle_gamma 90.00
loop_
_atom_site_label
_atom_site_type_symbol
_atom_site_fract_x
_atom_site_fract_y
_atom_site_fract_z
Pm1 Pm 0.2433 0.2433 0.0000
Co1 Co 0.1341 0.8659 0.7500
Tc1 Tc 0.1226 0.1226 0.5000
```

Most intense lines, 2θ from 15° to 90°, sorted by position:
2θ (°), I/Imax, (hkl)
18.8, 31, 1 1 0
26.8, 46, 2 0 0
33.7, 74, 2 1 1
35.7, 100, 1 1 2
38.2, 17, 2 2 0
43.5, 35, 3 0 1
49.4, 20, 2 2 2
51.8, 23, 3 2 1
55.8, 17, 2 1 3
59.3, 29, 4 1 1

# 9
Theoretical X-ray diffraction stick pattern of Pm2Th3Co2 for Cu Kα X-rays, from the PBE geometry in Alexandria.
Peak positions follow from Bragg's law for the DFT cell and can differ from measured ones.

Atomic structure:
```
data_Pm2Th3Co2
_space_group_name_H-M_alt 'C 1 2/m 1'
_space_group_IT_number 12
_space_group_name_Hall '-C 2y'
_cell_length_a 11.8519
_cell_length_b 3.7295
_cell_length_c 8.9092
_cell_angle_alpha 90.00
_cell_angle_beta 111.16
_cell_angle_gamma 90.00
loop_
_atom_site_label
_atom_site_type_symbol
_atom_site_fract_x
_atom_site_fract_y
_atom_site_fract_z
Pm1 Pm 0.1673 0.0000 0.2991
Th1 Th 0.0000 0.5000 0.5000
Th2 Th 0.1190 0.5000 0.9276
Co1 Co 0.1258 0.0000 0.7139
```

Most intense lines, 2θ from 15° to 90°, sorted by position:
2θ (°), I/Imax, (hkl)
25.2, 29, 1 1 0
28.6, 40, 1 1 1
30.2, 65, 4 0 -1
30.4, 64, 2 0 -3
31.3, 100, 2 0 2
33.1, 64, 3 1 -1
35.2, 73, 1 1 2
35.5, 43, 3 1 -2
48.8, 30, 0 2 0
60.0, 31, 7 1 -2

# 10
Theoretical X-ray diffraction stick pattern of PmTlCo for Cu Kα X-rays, from the PBE geometry in Alexandria.
Peak positions follow from Bragg's law for the DFT cell and can differ from measured ones.

Atomic structure:
```
data_PmTlCo
_space_group_name_H-M_alt 'C 1 2/m 1'
_space_group_IT_number 12
_space_group_name_Hall '-C 2y'
_cell_length_a 12.9631
_cell_length_b 4.0222
_cell_length_c 5.3212
_cell_angle_alpha 90.00
_cell_angle_beta 101.56
_cell_angle_gamma 90.00
loop_
_atom_site_label
_atom_site_type_symbol
_atom_site_fract_x
_atom_site_fract_y
_atom_site_fract_z
Pm1 Pm 0.1351 0.0000 0.3208
Tl1 Tl 0.0798 0.5000 0.7895
Co1 Co 0.2268 0.0000 0.8853
```

Most intense lines, 2θ from 15° to 90°, sorted by position:
2θ (°), I/Imax, (hkl)
28.1, 28, 4 0 0
29.7, 62, 1 1 1
30.7, 29, 3 1 0
33.1, 100, 3 1 -1
34.4, 64, 2 0 -2
35.9, 25, 4 0 1
37.4, 49, 3 1 1
42.8, 27, 6 0 -1
45.1, 32, 0 2 0
57.9, 38, 2 2 -2

# 11
Theoretical X-ray diffraction stick pattern of Pm12TlCo5 for Cu Kα X-rays, from the PBE geometry in Alexandria.
Peak positions follow from Bragg's law for the DFT cell and can differ from measured ones.

Atomic structure:
```
data_Pm12TlCo5
_space_group_name_H-M_alt 'I m m m'
_space_group_IT_number 71
_space_group_name_Hall '-I 2 2'
_cell_length_a 9.7190
_cell_length_b 9.8040
_cell_length_c 10.0302
_cell_angle_alpha 90.00
_cell_angle_beta 90.00
_cell_angle_gamma 90.00
loop_
_atom_site_label
_atom_site_type_symbol
_atom_site_fract_x
_atom_site_fract_y
_atom_site_fract_z
Pm1 Pm 0.0000 0.1911 0.2004
Pm2 Pm 0.1939 0.5000 0.1848
Pm3 Pm 0.2016 0.3145 0.5000
Tl1 Tl 0.0000 0.0000 0.5000
Co1 Co 0.0000 0.0000 0.0000
Co2 Co 0.0000 0.3812 0.0000
Co3 Co 0.0000 0.5000 0.3880
```

Most intense lines, 2θ from 15° to 90°, sorted by position:
2θ (°), I/Imax, (hkl)
28.2, 29, 1 0 3
28.7, 37, 0 3 1
29.0, 38, 3 1 0
31.5, 100, 2 2 2
33.8, 61, 2 1 3
34.0, 54, 1 3 2
34.4, 37, 3 2 1
53.6, 21, 0 3 5
57.7, 22, 2 5 3
58.2, 30, 5 3 2

# 12
Theoretical X-ray diffraction stick pattern of Pm6Tl3Co for Cu Kα X-rays, from the PBE geometry in Alexandria.
Peak positions follow from Bragg's law for the DFT cell and can differ from measured ones.

Atomic structure:
```
data_Pm6Tl3Co
_space_group_name_H-M_alt 'P 1 21/c 1'
_space_group_IT_number 14
_space_group_name_Hall '-P 2ybc'
_cell_length_a 6.0514
_cell_length_b 9.0868
_cell_length_c 12.2551
_cell_angle_alpha 90.00
_cell_angle_beta 116.95
_cell_angle_gamma 90.00
loop_
_atom_site_label
_atom_site_type_symbol
_atom_site_fract_x
_atom_site_fract_y
_atom_site_fract_z
Pm1 Pm 0.0506 0.1550 0.4418
Pm2 Pm 0.3617 0.6956 0.4365
Pm3 Pm 0.3920 0.0434 0.2771
Tl1 Tl 0.0000 0.0000 0.0000
Tl2 Tl 0.1700 0.1199 0.7616
Co1 Co 0.5000 0.0000 0.5000
```

Most intense lines, 2θ from 15° to 90°, sorted by position:
2θ (°), I/Imax, (hkl)
26.1, 29, 1 2 -2
29.2, 26, 1 2 1
29.6, 28, 2 0 -2
29.7, 49, 1 1 2
29.9, 32, 1 2 -3
30.8, 50, 1 1 -4
31.5, 45, 0 2 3
32.6, 57, 2 1 -3
32.8, 36, 0 0 4
33.1, 100, 1 3 -1